Entry 1:
LiSi3: theoretical powder X-ray diffraction pattern (Cu Kα (λ = 1.5418 Å)), based on a DFT-relaxed cell (PBE, Alexandria).
Peak positions follow from Bragg's law for the DFT cell and can differ from measured ones.

Cell and atoms:
a = 3.833 Å, b = 3.833 Å, c = 7.709 Å
α = 90.00°, β = 90.00°, γ = 90.00°
Space group I4/mmm (No. 139)
Unique sites:
Li 0.000 0.000 0.000 x2
Si 0.000 0.000 0.500 x2
Si 0.000 0.500 0.250 x4

Main lines, by intensity (2θ from 10° to 90°):
- 2θ = 40.69°, d = 2.217 Å, intensity 100, hkl 1 1 2
- 2θ = 47.43°, d = 1.917 Å, intensity 31, hkl 2 0 0
- 2θ = 83.62°, d = 1.156 Å, intensity 25, hkl 3 1 2
- 2θ = 25.96°, d = 3.432 Å, intensity 25, hkl 1 0 1
- 2θ = 69.12°, d = 1.359 Å, intensity 20, hkl 2 0 4
- 2θ = 47.16°, d = 1.927 Å, intensity 16, hkl 0 0 4
- 2θ = 83.21°, d = 1.161 Å, intensity 12, hkl 1 1 6
- 2θ = 88.12°, d = 1.109 Å, intensity 11, hkl 2 2 4
- 2θ = 69.34°, d = 1.355 Å, intensity 10, hkl 2 2 0
- 2θ = 23.07°, d = 3.855 Å, intensity 8, hkl 0 0 2


Entry 2:
Na2Tl2Pb5: theoretical powder X-ray diffraction pattern (Cu Kα (λ = 1.5418 Å)), based on a DFT-relaxed cell (PBE, Alexandria).
Peak positions follow from Bragg's law for the DFT cell and can differ from measured ones.

Cell and atoms:
a = 11.005 Å, b = 5.052 Å, c = 10.312 Å
α = 90.00°, β = 107.56°, γ = 90.00°
Space group C2/m (No. 12)
Unique sites:
Na 0.167 0.000 0.063 x4
Tl 0.167 0.000 0.390 x4
Pb 0.000 0.500 0.168 x4
Pb 0.000 0.500 0.500 x2
Pb 0.161 0.000 0.729 x4

Main lines, by intensity (2θ from 10° to 90°):
- 2θ = 31.10°, d = 2.876 Å, intensity 100, hkl 3 1 0
- 2θ = 31.48°, d = 2.842 Å, intensity 96, hkl 1 1 -3
- 2θ = 35.54°, d = 2.526 Å, intensity 35, hkl 0 2 0
- 2θ = 36.45°, d = 2.465 Å, intensity 33, hkl 2 0 3
- 2θ = 36.87°, d = 2.438 Å, intensity 32, hkl 4 0 -3
- 2θ = 51.82°, d = 1.764 Å, intensity 25, hkl 2 2 3
- 2θ = 52.14°, d = 1.754 Å, intensity 24, hkl 4 2 -3
- 2θ = 61.07°, d = 1.517 Å, intensity 15, hkl 3 3 0
- 2θ = 61.29°, d = 1.512 Å, intensity 15, hkl 1 3 -3
- 2θ = 62.63°, d = 1.483 Å, intensity 15, hkl 7 1 -3


Entry 3:
NpCl5: theoretical powder X-ray diffraction pattern (Cu Kα (λ = 1.5418 Å)), based on a DFT-relaxed cell (PBE, Alexandria).
Peak positions follow from Bragg's law for the DFT cell and can differ from measured ones.

Cell and atoms:
a = 9.235 Å, b = 9.235 Å, c = 5.337 Å
α = 90.00°, β = 90.00°, γ = 90.00°
Space group I4/m (No. 87)
Unique sites:
Np 0.000 0.000 0.000 x2
Cl 0.000 0.000 0.500 x2
Cl 0.062 0.740 0.000 x8

Main lines, by intensity (2θ from 10° to 90°):
- 2θ = 19.21°, d = 4.620 Å, intensity 100, hkl 1 0 1
- 2θ = 13.56°, d = 6.530 Å, intensity 76, hkl 1 1 0
- 2θ = 43.83°, d = 2.065 Å, intensity 34, hkl 2 4 0
- 2θ = 39.00°, d = 2.310 Å, intensity 32, hkl 4 0 0
- 2θ = 30.61°, d = 2.920 Å, intensity 29, hkl 3 1 0
- 2θ = 33.60°, d = 2.668 Å, intensity 25, hkl 0 0 2
- 2θ = 52.40°, d = 1.746 Å, intensity 23, hkl 4 0 2
- 2θ = 56.34°, d = 1.633 Å, intensity 22, hkl 2 4 2
- 2θ = 27.31°, d = 3.266 Å, intensity 22, hkl 2 1 1
- 2θ = 46.07°, d = 1.970 Å, intensity 18, hkl 3 1 2


Entry 4:
Cs3Np2PbSe6: theoretical powder X-ray diffraction pattern (Cu Kα (λ = 1.5418 Å)), based on a DFT-relaxed cell (PBE, Alexandria).
Peak positions follow from Bragg's law for the DFT cell and can differ from measured ones.

Cell and atoms:
a = 7.598 Å, b = 13.145 Å, c = 8.691 Å
α = 90.00°, β = 106.86°, γ = 90.00°
Space group C2/m (No. 12)
Unique sites:
Cs 0.000 0.000 0.000 x2
Cs 0.000 0.341 0.000 x4
Np 0.000 0.167 0.500 x4
Pb 0.000 0.500 0.500 x2
Se 0.205 0.000 0.685 x4
Se 0.241 0.322 0.688 x8

Main lines, by intensity (2θ from 10° to 90°):
- 2θ = 27.50°, d = 3.243 Å, intensity 100, hkl 2 0 -2
- 2θ = 41.18°, d = 2.192 Å, intensity 36, hkl 3 3 -1
- 2θ = 10.64°, d = 8.317 Å, intensity 27, hkl 0 0 1
- 2θ = 37.33°, d = 2.409 Å, intensity 23, hkl 1 3 -3
- 2θ = 24.51°, d = 3.632 Å, intensity 22, hkl 2 0 0
- 2θ = 66.90°, d = 1.399 Å, intensity 15, hkl 5 3 -3
- 2θ = 21.37°, d = 4.159 Å, intensity 15, hkl 0 0 2
- 2θ = 61.45°, d = 1.509 Å, intensity 14, hkl 3 3 3
- 2θ = 50.26°, d = 1.815 Å, intensity 12, hkl 2 6 -2
- 2θ = 43.40°, d = 2.085 Å, intensity 12, hkl 2 0 -4


Entry 5:
Tm6Sc3Pb2: theoretical powder X-ray diffraction pattern (Cu Kα (λ = 1.5418 Å)), based on a DFT-relaxed cell (PBE, Alexandria).
Peak positions follow from Bragg's law for the DFT cell and can differ from measured ones.

Cell and atoms:
a = 6.187 Å, b = 6.344 Å, c = 8.624 Å
α = 107.40°, β = 97.28°, γ = 101.71°
Space group P1 (No. 1)
Unique sites:
Tm 0.000 0.000 0.000 x1
Tm 0.027 0.236 0.693 x1
Tm 0.202 0.934 0.369 x1
Tm 0.412 0.671 0.037 x1
Tm 0.574 0.523 0.682 x1
Tm 0.712 0.254 0.296 x1
Sc 0.086 0.714 0.641 x1
Sc 0.514 0.074 0.818 x1
Sc 0.676 0.805 0.434 x1
Pb 0.253 0.419 0.332 x1
Pb 0.868 0.512 0.032 x1

Main lines, by intensity (2θ from 10° to 90°):
- 2θ = 34.23°, d = 2.619 Å, intensity 100, hkl 2 0 1
- 2θ = 33.34°, d = 2.687 Å, intensity 92, hkl 0 0 3
- 2θ = 33.21°, d = 2.698 Å, intensity 88, hkl 1 -2 2
- 2θ = 35.11°, d = 2.556 Å, intensity 80, hkl 1 2 -1
- 2θ = 33.72°, d = 2.658 Å, intensity 77, hkl 2 0 -2
- 2θ = 34.88°, d = 2.572 Å, intensity 68, hkl -1 2 1
- 2θ = 31.79°, d = 2.815 Å, intensity 63, hkl -2 1 1
- 2θ = 33.90°, d = 2.644 Å, intensity 43, hkl 1 1 -3
- 2θ = 31.18°, d = 2.868 Å, intensity 43, hkl 0 2 -2
- 2θ = 30.85°, d = 2.898 Å, intensity 42, hkl 0 1 2


Entry 6:
NaTc3O12: theoretical powder X-ray diffraction pattern (Cu Kα (λ = 1.5418 Å)), based on a DFT-relaxed cell (PBE, Alexandria).
Peak positions follow from Bragg's law for the DFT cell and can differ from measured ones.

Cell and atoms:
a = 9.4084 Å, b = 9.4084 Å, c = 23.4754 Å
α = 90.00°, β = 90.00°, γ = 120.00°
Space group R3c (No. 161, hexagonal axes)
Unique sites:
Na 0.0000 0.0000 0.0000 x6
Tc 0.0800 0.3743 0.3049 x18
O 0.0528 0.2562 0.9603 x18
O 0.0672 0.1993 0.6877 x18
O 0.0984 0.5363 0.4978 x18
O 0.1889 0.4615 0.2412 x18

Main lines, by intensity (2θ from 10° to 90°):
- 2θ = 22.05°, d = 4.032 Å, intensity 100, hkl 1 1 3
- 2θ = 22.73°, d = 3.913 Å, intensity 30, hkl 0 0 6
- 2θ = 23.11°, d = 3.849 Å, intensity 26, hkl 2 0 2
- 2θ = 29.25°, d = 3.053 Å, intensity 22, hkl 2 1 1
- 2θ = 13.23°, d = 6.693 Å, intensity 20, hkl 0 1 2
- 2θ = 39.50°, d = 2.281 Å, intensity 16, hkl 1 1 9
- 2θ = 18.86°, d = 4.704 Å, intensity 14, hkl 1 1 0
- 2θ = 29.70°, d = 3.008 Å, intensity 13, hkl 1 1 6
- 2θ = 40.43°, d = 2.231 Å, intensity 12, hkl 0 3 6
- 2θ = 44.51°, d = 2.036 Å, intensity 9, hkl 3 1 5


Entry 7:
La2Zn5Au12: theoretical powder X-ray diffraction pattern (Cu Kα (λ = 1.5418 Å)), based on a DFT-relaxed cell (PBE, Alexandria).
Peak positions follow from Bragg's law for the DFT cell and can differ from measured ones.

Cell and atoms:
a = 9.4422 Å, b = 9.4422 Å, c = 14.2891 Å
α = 90.00°, β = 90.00°, γ = 120.00°
Space group R-3m (No. 166, hexagonal axes)
Unique sites:
La 0.0000 0.0000 0.1482 x6
Zn 0.0000 0.0000 0.4032 x6
Zn 0.0000 0.5000 0.0000 x9
Au 0.0000 0.3032 0.5000 x18
Au 0.0158 0.5079 0.3487 x18

Main lines, by intensity (2θ from 10° to 90°):
- 2θ = 38.05°, d = 2.365 Å, intensity 100, hkl 3 0 3
- 2θ = 42.75°, d = 2.115 Å, intensity 50, hkl 2 2 3
- 2θ = 33.30°, d = 2.690 Å, intensity 31, hkl 0 2 4
- 2θ = 37.77°, d = 2.382 Å, intensity 27, hkl 0 0 6
- 2θ = 18.80°, d = 4.721 Å, intensity 27, hkl 1 1 0
- 2θ = 32.86°, d = 2.726 Å, intensity 19, hkl 3 0 0
- 2θ = 42.52°, d = 2.126 Å, intensity 15, hkl 1 1 6
- 2θ = 68.90°, d = 1.363 Å, intensity 14, hkl 6 0 0
- 2θ = 62.12°, d = 1.494 Å, intensity 13, hkl 3 3 3
- 2θ = 68.38°, d = 1.372 Å, intensity 13, hkl 3 0 9


Entry 8:
In7GeIrO8: theoretical powder X-ray diffraction pattern (Cu Kα (λ = 1.5418 Å)), based on a DFT-relaxed cell (PBE, Alexandria).
Peak positions follow from Bragg's law for the DFT cell and can differ from measured ones.

Cell and atoms:
a = 10.300 Å, b = 10.300 Å, c = 10.300 Å
α = 90.00°, β = 90.00°, γ = 90.00°
Space group F-43m (No. 216)
Unique sites:
In 0.000 0.000 0.000 x4
In 0.000 0.250 0.250 x24
Ge 0.000 0.000 0.500 x4
Ir 0.250 0.250 0.250 x4
O 0.101 0.101 0.601 x16
O 0.120 0.120 0.880 x16

Main lines, by intensity (2θ from 10° to 90°):
- 2θ = 30.05°, d = 2.973 Å, intensity 100, hkl 2 2 2
- 2θ = 50.10°, d = 1.821 Å, intensity 98, hkl 4 4 0
- 2θ = 34.84°, d = 2.575 Å, intensity 93, hkl 4 0 0
- 2θ = 59.53°, d = 1.553 Å, intensity 40, hkl 6 2 2
- 2θ = 28.75°, d = 3.106 Å, intensity 38, hkl 3 1 1
- 2θ = 84.05°, d = 1.152 Å, intensity 33, hkl 8 4 0
- 2θ = 62.47°, d = 1.487 Å, intensity 24, hkl 4 4 4
- 2θ = 14.90°, d = 5.947 Å, intensity 24, hkl 1 1 1
- 2θ = 17.22°, d = 5.150 Å, intensity 23, hkl 2 0 0
- 2θ = 39.11°, d = 2.303 Å, intensity 18, hkl 4 2 0